# 1
Diffraction record for Pu2Cu3Ir. The X-ray diffraction stick pattern is theoretical, not measured: it uses a structure optimized by DFT (GGA-PBE) and CuKα.

Main lines, in order of falling intensity (2θ = 5–70°):
2theta, I/Imax, index
40.5, 100, 3 1 0
34.8, 69, 0 2 0
39.3, 43, 2 0 1
20.0, 29, 0 0 1
33.5, 26, 1 1 1
66.2, 20, 3 3 0
65.5, 19, 4 2 -3
42.7, 16, 4 0 -2
59.1, 15, 2 0 2
41.0, 15, 2 2 -1

Structural model:
```
data_Pu2Cu3Ir
_chemical_formula_sum 'Pu4 Cu6 Ir2'
_symmetry_space_group_name_H-M 'C 1 2/m 1'
_symmetry_Int_Tables_number 12
_cell_length_a 8.9167
_cell_length_b 5.1576
_cell_length_c 5.3508
_cell_angle_alpha 90.00
_cell_angle_beta 123.76
_cell_angle_gamma 90.00
loop_
_symmetry_equiv_pos_as_xyz
'x,y,z'
'-x,-y,-z'
'-x,y,-z'
'x,-y,z'
'x+1/2,y+1/2,z'
'-x+1/2,-y+1/2,-z'
'-x+1/2,y+1/2,-z'
'x+1/2,-y+1/2,z'
loop_
_atom_site_label
_atom_site_type_symbol
_atom_site_fract_x
_atom_site_fract_y
_atom_site_fract_z
Pu1 Pu 0.1291 0.0000 0.3870
Cu1 Cu 0.0000 0.5000 0.0000
Cu2 Cu 0.2500 0.2500 0.0000
Ir1 Ir 0.0000 0.5000 0.5000
```

# 2
Diffraction record for Dy6ScAl2. The X-ray diffraction stick pattern is theoretical, not measured: it uses a structure optimized by DFT (GGA-PBE) and CuKα.

Main lines, in order of falling intensity (2θ = 5–70°):
2theta, I/Imax, index
33.7, 100, 3 1 0
34.1, 77, 1 1 -3
32.6, 61, 4 0 -3
27.8, 35, 1 1 1
32.4, 34, 2 0 3
61.6, 20, 4 2 -3
52.6, 18, 3 1 4
18.4, 16, 2 0 -2
8.0, 15, 0 0 1
50.7, 15, 0 2 0

Structural model:
```
data_Dy6ScAl2
_chemical_formula_sum 'Dy12 Sc2 Al4'
_symmetry_space_group_name_H-M 'C 1 2/m 1'
_symmetry_Int_Tables_number 12
_cell_length_a 12.4328
_cell_length_b 3.5986
_cell_length_c 11.5311
_cell_angle_alpha 90.00
_cell_angle_beta 107.73
_cell_angle_gamma 90.00
loop_
_symmetry_equiv_pos_as_xyz
'x,y,z'
'-x,-y,-z'
'-x,y,-z'
'x,-y,z'
'x+1/2,y+1/2,z'
'-x+1/2,-y+1/2,-z'
'-x+1/2,y+1/2,-z'
'x+1/2,-y+1/2,z'
loop_
_atom_site_label
_atom_site_type_symbol
_atom_site_fract_x
_atom_site_fract_y
_atom_site_fract_z
Dy1 Dy 0.0276 0.0000 0.3329
Dy2 Dy 0.1771 0.5000 0.8790
Dy3 Dy 0.1911 0.5000 0.5950
Sc1 Sc 0.0000 0.0000 0.0000
Al1 Al 0.1439 0.5000 0.1856
```